Record 1
Structure and simulated X-ray powder pattern of CsCuHgTe2 (DFT lattice parameters and positions (GGA-PBE); a wavelength of 1.5418 Å).
Peak positions follow from Bragg's law for the DFT cell and can differ from measured ones.

Cell and atoms:
abc: 4.551 4.551 16.034
angles: 90.00 90.00 90.00
Space group I-4m2 (No. 119)
Unique sites:
Cs 0.000 0.000 0.000 x2
Cu 0.000 0.500 0.250 x2
Hg 0.000 0.500 0.750 x2
Te 0.000 0.000 0.357 x4

Top 12 peaks for 2θ = 10–90°, most intense first:
3.465 Å, I = 100; 2.987 Å, I = 57; 2.056 Å, I = 51; 2.276 Å, I = 47; 8.017 Å, I = 43; 2.510 Å, I = 39; 1.902 Å, I = 37; 1.267 Å, I = 21; 4.378 Å, I = 21; 1.504 Å, I = 19; 2.621 Å, I = 17; 1.609 Å, I = 16

***

Record 2
Structure and simulated X-ray powder pattern of CuH4C4IN2 (DFT lattice parameters and positions (GGA-PBE); a wavelength of 1.5418 Å).
Peak positions follow from Bragg's law for the DFT cell and can differ from measured ones.

Cell and atoms:
abc: 4.189 6.924 11.079
angles: 90.00 98.10 90.00
Space group P2/c (No. 13)
Unique sites:
Cu 0.000 0.211 0.250 x2
H 0.237 0.179 0.004 x4
H 0.248 0.397 0.826 x4
C 0.129 0.323 0.003 x4
C 0.136 0.445 0.904 x4
I 0.500 0.016 0.750 x2
N 0.007 0.376 0.399 x4

Top 12 peaks for 2θ = 10–90°, most intense first:
4.299 Å, I = 100; 5.484 Å, I = 71; 3.558 Å, I = 58; 2.658 Å, I = 35; 6.924 Å, I = 35; 2.311 Å, I = 34; 5.855 Å, I = 28; 2.549 Å, I = 26; 2.481 Å, I = 24; 3.270 Å, I = 24; 2.001 Å, I = 20; 1.828 Å, I = 20

***

Record 3
Structure and simulated X-ray powder pattern of HfCu2TeS2 (DFT lattice parameters and positions (GGA-PBE); a wavelength of 1.5418 Å).
Peak positions follow from Bragg's law for the DFT cell and can differ from measured ones.

Cell and atoms:
abc: 19.211 3.885 7.205
angles: 90.00 99.72 90.00
Space group C2/m (No. 12)
Unique sites:
Hf 0.138 0.000 0.047 x4
Cu 0.044 0.500 0.170 x4
Cu 0.207 0.000 0.428 x4
Te 0.249 0.000 0.785 x4
S 0.080 0.500 0.863 x4
S 0.085 0.000 0.329 x4

Top 12 peaks for 2θ = 10–90°, most intense first:
7.102 Å, I = 100; 2.041 Å, I = 90; 3.308 Å, I = 79; 2.640 Å, I = 79; 2.902 Å, I = 54; 6.206 Å, I = 46; 2.208 Å, I = 38; 1.942 Å, I = 32; 2.277 Å, I = 26; 3.103 Å, I = 23; 2.320 Å, I = 23; 3.664 Å, I = 20

***

Record 4
Structure and simulated X-ray powder pattern of NaFeAs (DFT lattice parameters and positions (GGA-PBE); a wavelength of 1.5418 Å).
Peak positions follow from Bragg's law for the DFT cell and can differ from measured ones.

Cell and atoms:
abc: 3.863 12.946 4.013
angles: 90.00 90.00 90.00
Space group Cmcm (No. 63)
Unique sites:
Na 0.000 0.078 0.250 x4
Fe 0.000 0.251 0.750 x4
As 0.000 0.348 0.250 x4

Top 12 peaks for 2θ = 10–90°, most intense first:
6.473 Å, I = 100; 2.339 Å, I = 64; 1.896 Å, I = 44; 2.878 Å, I = 32; 2.006 Å, I = 24; 3.411 Å, I = 22; 1.931 Å, I = 21; 2.519 Å, I = 18; 1.391 Å, I = 13; 1.646 Å, I = 12; 1.540 Å, I = 10; 1.136 Å, I = 9